Calculated XRD peak list
Compound: Li5Mn3O8
Radiation: λ = 1.5418 Å (Cu Kα)
Structure: a crystal structure in the Materials Project, relaxed with PBE+U
Lines closer than 0.1° are merged.

Crystal structure
```
16
Lattice="2.8846 0.0000 0.0000 0.0007 5.1356 0.0000 0.0157 1.5404 9.6604" Properties=species:S:1:pos:R:3 pbc="T T T"
Li 0.0000 0.0000 0.0000
Li 0.0082 3.3380 4.8302
Li 1.4372 2.4426 7.3577
Li 1.4427 2.5678 0.0000
Li 1.4638 4.2334 2.3027
Mn 0.0178 1.8000 2.3226
Mn 1.4502 0.7702 4.8302
Mn 2.8832 4.8760 7.3378
O 0.0148 5.2692 3.6632
O 0.0191 3.2926 1.2976
O 1.4401 5.7315 8.3069
O 1.4403 4.1739 6.1800
O 1.4607 2.5021 3.4804
O 1.4610 0.9445 1.3535
O 2.8820 3.3834 8.3628
O 2.8862 1.4069 5.9972
```

Top 10 peaks for 2θ from 10° to 90°, sorted by position:
two_theta  I (rel.)
18.43  100
27.43  8
35.29  11
36.28  23
42.81  27
44.01  55
62.98  14
63.17  14
63.36  8
64.62  7

***

Calculated XRD peak list
Compound: CoPO4
Radiation: λ = 1.5418 Å (Cu Kα)
Structure: a crystal structure in the Materials Project, relaxed with PBE+U
Lines closer than 0.1° are merged.

Crystal structure
```
24
Lattice="9.9585 0.0000 0.0000 0.0000 5.8220 0.0000 0.0000 0.0000 4.7674" Properties=species:S:1:pos:R:3 pbc="T T T"
Co 2.1826 1.4555 0.2654
Co 2.7966 4.3665 2.6491
Co 7.1619 1.4555 2.1183
Co 7.7758 4.3665 4.5021
P 0.9496 4.3665 0.4157
P 4.0296 1.4555 2.7995
P 5.9289 4.3665 1.9680
P 9.0088 1.4555 4.3517
O 0.5334 1.4555 3.9819
O 1.1467 4.3665 3.6678
O 1.7064 3.1645 1.1194
O 1.7064 5.5685 1.1194
O 3.2728 0.2535 3.5031
O 3.2728 2.6575 3.5031
O 3.8325 1.4555 1.2841
O 4.4458 4.3665 1.5982
O 5.5126 1.4555 3.1692
O 6.1260 4.3665 3.4833
O 6.6856 3.1645 1.2644
O 6.6856 5.5685 1.2644
O 8.2520 0.2535 3.6481
O 8.2520 2.6575 3.6481
O 8.8117 1.4555 1.0996
O 9.4250 4.3665 0.7855
```

Top 10 peaks for 2θ from 10° to 90°, sorted by position:
two_theta  I (rel.)
17.81  80
20.66  100
25.76  99
30.15  32
30.71  82
36.41  100
37.30  33
38.85  24
52.94  24
58.38  24

***

Calculated XRD peak list
Compound: Li3FeP2O8
Radiation: λ = 1.5418 Å (Cu Kα)
Structure: a crystal structure in the Materials Project, relaxed with PBE+U
Lines closer than 0.1° are merged.

Crystal structure
```
56
Lattice="8.7423 0.0000 0.0000 3.4713 8.0326 0.0000 0.4257 0.1962 9.1910" Properties=species:S:1:pos:R:3 pbc="T T T"
Li 0.0000 0.0000 0.0000
Li 2.2860 4.7938 2.3618
Li 1.1132 0.6240 6.7514
Li 1.3695 0.9655 3.8330
Li 4.5269 6.5041 4.6251
Li 5.1421 6.8684 1.8426
Li 3.7481 2.9534 5.8163
Li 4.3258 0.6982 7.8742
Li 4.8279 0.8012 1.8441
Li 7.0131 4.4342 6.6718
Li 7.5779 3.1886 1.9524
Li 10.0307 6.7432 6.8906
Fe 4.8672 3.7062 0.5263
Fe 8.1623 5.8378 3.4491
Fe 6.5237 1.6244 5.1519
Fe 9.7287 3.8303 8.0651
P 3.7728 5.5293 8.2226
P 2.1521 1.8770 0.3976
P 5.2622 4.2875 3.6349
P 7.2558 7.8573 4.9779
P 7.3709 5.8134 0.3457
P 7.2449 1.7391 8.2016
P 10.8348 7.6146 3.6553
P 9.3566 3.1684 4.9285
O 3.5797 7.5343 3.2611
O 2.0697 2.7691 4.7161
O 4.1818 6.9348 7.7803
O 3.2971 5.1724 0.5975
O 1.5224 0.6594 1.0912
O 2.7111 1.9190 8.0371
O 3.8137 4.7079 3.8487
O 5.7487 7.9373 5.3054
O 3.5756 2.1812 0.9768
O 4.7909 4.4111 7.7777
O 5.8681 5.4885 0.5445
O 6.0858 5.6107 3.5216
O 4.5427 0.9935 5.7089
O 7.4810 7.8964 3.4282
O 5.5260 3.4169 2.3886
O 5.7750 3.4678 4.8661
O 7.5568 7.3089 0.1849
O 7.8942 6.4936 5.4136
O 6.5860 2.4084 6.9669
O 6.3861 2.4027 0.2470
O 8.3033 5.1832 8.2953
O 8.1311 5.2267 1.5725
O 6.6898 0.9264 3.1877
O 6.8656 0.2754 8.3096
O 8.7596 3.9575 3.7158
O 9.0968 3.9993 6.2032
O 10.6430 7.6618 5.2188
O 10.0714 6.3982 3.0752
O 8.5632 1.8282 5.0262
O 8.8008 1.8757 8.0937
O 9.9681 3.1369 0.6539
O 11.1184 5.1861 7.5932
```

Top 10 peaks for 2θ from 10° to 90°, sorted by position:
two_theta  I (rel.)
11.03  69
14.80  82
14.91  74
19.31  72
20.80  35
20.93  30
24.39  100
32.04  38
33.98  22
34.62  23

***

Calculated XRD peak list
Compound: Mn13Si2Sb2O28
Radiation: λ = 1.5418 Å (Cu Kα)
Structure: a crystal structure in the Materials Project, relaxed with PBE+U
Lines closer than 0.1° are merged.

Crystal structure
```
45
Lattice="5.5874 0.0000 0.0000 1.6866 8.6832 0.0000 2.7657 0.0305 11.4100" Properties=species:S:1:pos:R:3 pbc="T T T"
Mn 0.0000 0.0000 0.0000
Mn 3.5281 6.3171 9.4690
Mn 1.7056 3.1991 2.8779
Mn 3.5193 6.2911 6.0655
Mn 2.7672 0.0330 4.1560
Mn 4.4793 3.2227 7.7795
Mn 6.2505 6.4181 11.3633
Mn 5.4325 0.1527 9.4633
Mn 4.5045 3.2166 1.2479
Mn 5.4525 0.1426 6.1001
Mn 6.2326 6.4163 4.1587
Mn 7.2844 3.2142 9.4653
Mn 7.2626 3.2241 6.0758
Si 2.6452 0.4637 7.7742
Si 6.2995 5.9755 7.7748
Sb 4.4802 3.2283 11.1041
Sb 4.4828 3.2308 4.4409
O 2.4976 2.1200 7.7760
O 4.4140 6.7607 11.1784
O 3.6173 8.5615 6.3930
O 3.5678 4.2309 9.5978
O 1.6900 0.1255 2.8593
O 3.5393 4.2053 5.9613
O 2.8031 2.0381 4.4702
O 4.6924 6.2594 7.7574
O 3.4422 4.1123 2.9830
O 6.2959 8.3784 11.1953
O 2.7330 2.3352 1.1845
O 4.3965 6.7645 4.3554
O 4.2521 0.1896 7.7799
O 5.3945 2.2341 9.5881
O 6.2086 4.3860 11.0758
O 4.5786 6.3131 1.2348
O 7.0281 6.5631 9.1538
O 5.4164 2.2260 5.9408
O 6.2904 8.3707 4.3849
O 6.4487 4.3244 7.7718
O 4.4268 0.0790 1.2287
O 7.0392 6.5719 6.4107
O 6.1818 4.4066 4.4740
O 5.4987 2.3490 2.9502
O 6.2520 4.0897 1.1472
O 9.1769 8.5533 9.1383
O 8.3881 2.0377 11.0690
O 7.3105 6.3384 2.8664
```

Top 10 peaks for 2θ from 10° to 90°, sorted by position:
two_theta  I (rel.)
10.19  61
15.53  38
20.46  56
30.89  96
31.94  100
32.31  46
34.52  38
34.65  43
35.22  36
36.43  40

***

Number 4 is which compound? Mn13Si2Sb2O28

***

Number 2 is which compound? CoPO4